Structure and simulated X-ray diffraction stick pattern of CaAlHg2 (a cell relaxed with PBE; CuKα).
Intensities are scaled so that the largest is 100.

Cell and atoms:
```
CaAlHg2
1.0
8.006 0.000 0.000
0.000 4.615 0.000
-2.654 0.000 5.353
Ca Al Hg
2 2 4
direct
0.000 0.000 0.000
0.500 0.500 0.000
0.000 0.500 0.500
0.500 0.000 0.500
0.226 0.000 0.677
0.274 0.500 0.323
0.726 0.500 0.677
0.774 0.000 0.323
```

Largest 12 diffraction maxima, in order of rising 2θ, 5° ≤ 2θ ≤ 70°:
(0 0 1), 16.56 deg, I = 23; (2 0 0), 24.87 deg, I = 100; (1 1 1), 31.57 deg, I = 92; (1 1 -2), 35.86 deg, I = 35; (0 2 0), 39.01 deg, I = 73; (3 1 -2), 42.64 deg, I = 14; (2 0 -3), 45.58 deg, I = 24; (2 2 0), 46.82 deg, I = 20; (4 0 0), 50.93 deg, I = 12; (2 2 -2), 51.07 deg, I = 16; (3 1 2), 66.07 deg, I = 23; (0 2 3), 66.23 deg, I = 16